# ZrP4
Computed PXRD pattern, Cu Ka. Input: a crystal structure in OQMD, relaxed with GGA-PBE.

Crystal structure
Unit cell a=5.5044 b=12.0237 c=6.2660 alpha=90.00 beta=112.23 gamma=90.00
Space group C2/c (No. 15)
Symmetry-distinct sites (fractional):
Zr: 0.0000 0.0608 0.2500 [4 per cell]
P: 0.2167 0.3981 0.3140 [8 per cell]
P: 0.2189 0.2708 0.8150 [8 per cell]

Top 6 peaks for 15° ≤ 2θ ≤ 90°, by intensity:
| index | 2θ/deg | I (rel.) |
| --- | --- | --- |
| 1 3 -1 | 28.92 | 100 |
| 1 1 0 | 18.92 | 69 |
| 0 0 2 | 30.83 | 59 |
| 1 3 -3 | 49.19 | 36 |
| 1 1 2 | 41.94 | 27 |
| 2 4 -1 | 44.70 | 24 |